LiAcPd2: calculated powder XRD pattern (Cu Kα X-rays), based on the PBE geometry in Alexandria.
Lines closer than 0.1° are merged.

Unit cell a=8.282 b=4.496 c=9.129 alpha=90.00 beta=90.00 gamma=90.00
Sites, in units of the cell vectors:
Li 0.072 0.250 0.046
Li 0.428 0.750 0.546
Li 0.572 0.250 0.454
Li 0.928 0.750 0.954
Ac 0.094 0.750 0.332
Ac 0.406 0.250 0.832
Ac 0.594 0.750 0.168
Ac 0.906 0.250 0.668
Pd 0.161 0.750 0.722
Pd 0.247 0.750 0.022
Pd 0.253 0.250 0.522
Pd 0.339 0.250 0.222
Pd 0.661 0.750 0.778
Pd 0.747 0.750 0.478
Pd 0.753 0.250 0.978
Pd 0.839 0.250 0.278

Principal peaks in the range 2θ = 10–80°, low angle first:
2θ (°)	I/Imax	hkl
14.4	49	1 0 1
29.3	100	2 1 0
35.4	52	2 1 2
37.3	83	1 1 3
39.6	49	3 1 1
40.1	47	0 2 0